Starting from DFT lattice parameters and positions (GGA-PBE), the XRD peak list of AuBr2Cl5 was computed for copper Kα.
Neutral-atom scattering factors, no anomalous dispersion.

Crystal structure
Lattice parameters (Å, degrees): 4.816 7.315 8.316 63.94 89.68 89.49
Space group P1 (No. 1)
Unique sites:
Au (0.000, 0.000, 0.000) [1 per cell]
Br (0.502, 0.737, 0.525) [1 per cell]
Br (0.503, 0.263, 0.476) [1 per cell]
Cl (0.000, 0.500, 0.000) [1 per cell]
Cl (0.002, 0.764, 0.472) [1 per cell]
Cl (0.003, 0.236, 0.528) [1 per cell]
Cl (0.290, 0.752, 0.999) [1 per cell]
Cl (0.710, 0.248, 0.001) [1 per cell]

Principal peaks in the range 10° ≤ 2θ ≤ 90°, in order of falling intensity:
| Position (°2θ) | I_rel |
| --- | --- |
| 23.82 | 100 |
| 21.96 | 77 |
| 13.48 | 55 |
| 24.34 | 52 |
| 22.81 | 48 |
| 34.32 | 40 |
| 32.88 | 36 |
| 33.14 | 35 |
| 37.37 | 34 |
| 21.59 | 27 |



Starting from DFT lattice parameters and positions (GGA-PBE), the XRD peak list of Au2Br3Cl was computed for copper Kα.
Neutral-atom scattering factors, no anomalous dispersion.

Crystal structure
Lattice parameters (Å, degrees): 4.749 8.144 11.348 82.97 79.63 80.87
Space group P-1 (No. 2)
Unique sites:
Au (0.071, 0.009, 0.372) [2 per cell]
Au (0.160, 0.661, 0.890) [2 per cell]
Br (0.077, 0.589, 0.121) [2 per cell]
Br (0.235, 0.722, 0.664) [2 per cell]
Br (0.386, 0.746, 0.385) [2 per cell]
Cl (0.400, 0.880, 0.907) [2 per cell]

Principal peaks in the range 10° ≤ 2θ ≤ 90°, in order of falling intensity:
| Position (°2θ) | I_rel |
| --- | --- |
| 12.99 | 100 |
| 20.75 | 70 |
| 32.25 | 47 |
| 26.98 | 33 |
| 41.39 | 27 |
| 19.19 | 26 |
| 24.18 | 20 |
| 31.55 | 18 |
| 23.53 | 18 |
| 41.90 | 17 |



Starting from DFT lattice parameters and positions (GGA-PBE), the XRD peak list of AuSe2BrCl was computed for copper Kα.
Neutral-atom scattering factors, no anomalous dispersion.

Crystal structure
Lattice parameters (Å, degrees): 5.237 5.237 5.210 90.00 90.00 90.00
Space group P4/mmm (No. 123)
Unique sites:
Au (0.000, 0.000, 0.000) [1 per cell]
Se (0.000, 0.500, 0.000) [2 per cell]
Br (0.000, 0.000, 0.500) [1 per cell]
Cl (0.500, 0.500, 0.500) [1 per cell]

Principal peaks in the range 10° ≤ 2θ ≤ 90°, in order of falling intensity:
| Position (°2θ) | I_rel |
| --- | --- |
| 16.96 | 100 |
| 34.25 | 48 |
| 38.46 | 37 |
| 24.07 | 36 |
| 49.35 | 34 |
| 34.43 | 24 |
| 38.60 | 18 |
| 61.44 | 17 |
| 49.21 | 17 |
| 52.55 | 15 |



Starting from DFT lattice parameters and positions (GGA-PBE), the XRD peak list of TlAuBr2Cl was computed for copper Kα.
Neutral-atom scattering factors, no anomalous dispersion.

Crystal structure
Lattice parameters (Å, degrees): 5.413 5.413 5.082 90.00 90.00 90.00
Space group P4/mmm (No. 123)
Unique sites:
Tl (0.000, 0.000, 0.000) [1 per cell]
Au (0.500, 0.500, 0.500) [1 per cell]
Br (0.000, 0.500, 0.500) [2 per cell]
Cl (0.500, 0.500, 0.000) [1 per cell]

Principal peaks in the range 10° ≤ 2θ ≤ 90°, in order of falling intensity:
| Position (°2θ) | I_rel |
| --- | --- |
| 24.02 | 100 |
| 33.10 | 62 |
| 41.31 | 51 |
| 49.18 | 41 |
| 23.24 | 30 |
| 35.32 | 26 |
| 47.51 | 23 |
| 60.57 | 22 |
| 29.21 | 20 |
| 89.74 | 16 |



Starting from DFT lattice parameters and positions (GGA-PBE), the XRD peak list of Co4AuBr was computed for copper Kα.
Neutral-atom scattering factors, no anomalous dispersion.

Crystal structure
Lattice parameters (Å, degrees): 7.018 7.018 7.018 90.00 90.00 90.00
Space group F-43m (No. 216)
Unique sites:
Co (0.125, 0.125, 0.125) [16 per cell]
Au (0.250, 0.250, 0.750) [4 per cell]
Br (0.000, 0.000, 0.500) [4 per cell]

Principal peaks in the range 10° ≤ 2θ ≤ 90°, in order of falling intensity:
| Position (°2θ) | I_rel |
| --- | --- |
| 42.73 | 100 |
| 36.20 | 57 |
| 69.61 | 30 |
| 76.84 | 21 |
| 65.12 | 21 |
| 44.73 | 20 |
| 21.94 | 20 |
| 25.38 | 11 |
| 88.01 | 10 |
| 58.85 | 5 |



Starting from DFT lattice parameters and positions (GGA-PBE), the XRD peak list of CoHAuSBr was computed for copper Kα.
Neutral-atom scattering factors, no anomalous dispersion.

Crystal structure
Lattice parameters (Å, degrees): 3.329 4.885 6.579 107.79 102.50 97.73
Space group P1 (No. 1)
Unique sites:
Co (0.000, 0.000, 0.000) [1 per cell]
H (0.961, 0.663, 0.933) [1 per cell]
Au (0.823, 0.555, 0.145) [1 per cell]
S (0.629, 0.130, 0.234) [1 per cell]
Br (0.349, 0.894, 0.708) [1 per cell]

Principal peaks in the range 10° ≤ 2θ ≤ 90°, in order of falling intensity:
| Position (°2θ) | I_rel |
| --- | --- |
| 14.70 | 100 |
| 35.38 | 39 |
| 37.17 | 34 |
| 20.00 | 33 |
| 27.97 | 33 |
| 42.52 | 32 |
| 29.65 | 31 |
| 28.41 | 28 |
| 30.69 | 24 |
| 38.21 | 18 |



Starting from DFT lattice parameters and positions (GGA-PBE), the XRD peak list of KCo2AuBr8 was computed for copper Kα.
Neutral-atom scattering factors, no anomalous dispersion.

Crystal structure
Lattice parameters (Å, degrees): 6.6825 6.6825 29.4868 90.00 90.00 120.00
Space group R-3 (No. 148, hexagonal axes)
Unique sites:
K (0.0000, 0.0000, 0.0000) [3 per cell]
Co (0.0000, 0.0000, 0.2473) [6 per cell]
Au (0.0000, 0.0000, 0.5000) [3 per cell]
Br (0.0000, 0.0000, 0.3261) [6 per cell]
Br (0.0032, 0.6640, 0.5559) [18 per cell]

Principal peaks in the range 10° ≤ 2θ ≤ 90°, in order of falling intensity:
| Position (°2θ) | I_rel |
| --- | --- |
| 32.40 | 100 |
| 28.21 | 76 |
| 45.84 | 67 |
| 47.11 | 61 |
| 19.50 | 55 |
| 15.60 | 47 |
| 21.51 | 33 |
| 27.22 | 23 |
| 26.68 | 22 |
| 86.68 | 21 |



Starting from DFT lattice parameters and positions (GGA-PBE), the XRD peak list of CrAuBr2 was computed for copper Kα.
Neutral-atom scattering factors, no anomalous dispersion.

Crystal structure
Lattice parameters (Å, degrees): 3.7166 3.7166 24.8853 90.00 90.00 120.00
Space group R3m (No. 160, hexagonal axes)
Unique sites:
Cr (0.0000, 0.0000, 0.0000) [3 per cell]
Au (0.0000, 0.0000, 0.2715) [3 per cell]
Br (0.0000, 0.0000, 0.5339) [3 per cell]
Br (0.0000, 0.0000, 0.7247) [3 per cell]

Principal peaks in the range 10° ≤ 2θ ≤ 90°, in order of falling intensity:
| Position (°2θ) | I_rel |
| --- | --- |
| 10.67 | 100 |
| 31.29 | 96 |
| 37.70 | 46 |
| 49.02 | 35 |
| 49.23 | 32 |
| 40.32 | 21 |
| 33.15 | 18 |
| 28.65 | 17 |
| 59.32 | 17 |
| 77.06 | 15 |



Starting from DFT lattice parameters and positions (GGA-PBE), the XRD peak list of VCrPbAuBr was computed for copper Kα.
Neutral-atom scattering factors, no anomalous dispersion.

Crystal structure
Lattice parameters (Å, degrees): 3.683 3.276 19.013 90.00 90.00 90.00
Space group Amm2 (No. 38)
Unique sites:
V (0.000, 0.000, 0.000) [2 per cell]
Cr (0.000, 0.000, 0.863) [2 per cell]
Pb (0.500, 0.000, 0.266) [2 per cell]
Au (0.500, 0.000, 0.430) [2 per cell]
Br (0.000, 0.000, 0.600) [2 per cell]

Principal peaks in the range 10° ≤ 2θ ≤ 90°, in order of falling intensity:
| Position (°2θ) | I_rel |
| --- | --- |
| 37.03 | 100 |
| 36.19 | 47 |
| 25.95 | 44 |
| 37.44 | 43 |
| 28.16 | 42 |
| 30.71 | 41 |
| 27.63 | 40 |
| 43.27 | 36 |
| 43.99 | 31 |
| 62.85 | 27 |



Starting from DFT lattice parameters and positions (GGA-PBE), the XRD peak list of VCrPbAuBr was computed for copper Kα.
Neutral-atom scattering factors, no anomalous dispersion.

Crystal structure
Lattice parameters (Å, degrees): 3.200 3.337 10.240 89.74 81.22 90.00
Space group P1 (No. 1)
Unique sites:
V (0.000, 0.000, 0.000) [1 per cell]
Cr (0.437, 0.499, 0.131) [1 per cell]
Pb (0.261, 0.493, 0.491) [1 per cell]
Au (0.861, 0.997, 0.285) [1 per cell]
Br (0.593, 0.998, 0.810) [1 per cell]

Principal peaks in the range 10° ≤ 2θ ≤ 90°, in order of falling intensity:
| Position (°2θ) | I_rel |
| --- | --- |
| 39.26 | 100 |
| 30.93 | 52 |
| 32.20 | 37 |
| 32.06 | 36 |
| 35.83 | 30 |
| 35.70 | 29 |
| 28.16 | 27 |
| 35.48 | 22 |
| 37.84 | 20 |
| 38.02 | 20 |



Starting from DFT lattice parameters and positions (GGA-PBE), the XRD peak list of Cs8Au3Br4 was computed for copper Kα.
Neutral-atom scattering factors, no anomalous dispersion.

Crystal structure
Lattice parameters (Å, degrees): 14.795 14.809 10.427 90.00 134.68 90.00
Space group C2/m (No. 12)
Unique sites:
Cs (0.000, 0.247, 0.000) [4 per cell]
Cs (0.000, 0.251, 0.500) [4 per cell]
Cs (0.244, 0.000, 0.492) [4 per cell]
Cs (0.247, 0.000, 0.998) [4 per cell]
Au (0.000, 0.500, 0.500) [2 per cell]
Au (0.250, 0.250, 0.500) [4 per cell]
Br (0.000, 0.000, 0.000) [2 per cell]
Br (0.000, 0.000, 0.500) [2 per cell]
Br (0.250, 0.250, 0.000) [4 per cell]

Principal peaks in the range 10° ≤ 2θ ≤ 90°, in order of falling intensity:
| Position (°2θ) | I_rel |
| --- | --- |
| 24.04 | 100 |
| 34.25 | 53 |
| 55.48 | 20 |
| 42.15 | 15 |
| 42.41 | 15 |
| 34.09 | 13 |
| 34.41 | 13 |
| 61.13 | 10 |
| 61.46 | 10 |
| 49.19 | 9 |



Starting from DFT lattice parameters and positions (GGA-PBE), the XRD peak list of Cs2Au2Br was computed for copper Kα.
Neutral-atom scattering factors, no anomalous dispersion.

Crystal structure
Lattice parameters (Å, degrees): 6.914 6.914 8.643 90.00 90.00 90.00
Space group I4/mmm (No. 139)
Unique sites:
Cs (0.000, 0.500, 0.250) [4 per cell]
Au (0.000, 0.000, 0.155) [4 per cell]
Br (0.000, 0.000, 0.500) [2 per cell]

Principal peaks in the range 10° ≤ 2θ ≤ 90°, in order of falling intensity:
| Position (°2θ) | I_rel |
| --- | --- |
| 25.77 | 100 |
| 42.91 | 42 |
| 33.70 | 41 |
| 36.77 | 40 |
| 33.19 | 20 |
| 59.82 | 19 |
| 16.42 | 19 |
| 18.15 | 19 |
| 57.75 | 18 |
| 45.92 | 17 |



Starting from DFT lattice parameters and positions (GGA-PBE), the XRD peak list of Cs8Au3Br was computed for copper Kα.
Neutral-atom scattering factors, no anomalous dispersion.

Crystal structure
Lattice parameters (Å, degrees): 18.180 10.528 10.736 90.00 124.99 90.00
Space group C2/m (No. 12)
Unique sites:
Cs (0.005, 0.249, 0.269) [8 per cell]
Cs (0.245, 0.000, 0.731) [4 per cell]
Cs (0.246, 0.500, 0.731) [4 per cell]
Au (0.000, 0.000, 0.500) [2 per cell]
Au (0.250, 0.250, 0.500) [4 per cell]
Br (0.000, 0.500, 0.500) [2 per cell]

Principal peaks in the range 10° ≤ 2θ ≤ 90°, in order of falling intensity:
| Position (°2θ) | I_rel |
| --- | --- |
| 23.67 | 100 |
| 10.06 | 73 |
| 34.12 | 60 |
| 23.90 | 49 |
| 33.64 | 39 |
| 42.04 | 22 |
| 19.76 | 20 |
| 55.06 | 20 |
| 33.39 | 20 |
| 30.70 | 17 |



Starting from DFT lattice parameters and positions (GGA-PBE), the XRD peak list of Cs7Au2Br2 was computed for copper Kα.
Neutral-atom scattering factors, no anomalous dispersion.

Crystal structure
Lattice parameters (Å, degrees): 10.725 16.733 9.269 90.00 99.38 90.00
Space group C2/m (No. 12)
Unique sites:
Cs (0.000, 0.000, 0.000) [2 per cell]
Cs (0.083, 0.500, 0.745) [4 per cell]
Cs (0.237, 0.196, 0.723) [8 per cell]
Au (0.000, 0.328, 0.500) [4 per cell]
Br (0.212, 0.500, 0.130) [4 per cell]

Principal peaks in the range 10° ≤ 2θ ≤ 90°, in order of falling intensity:
| Position (°2θ) | I_rel |
| --- | --- |
| 14.35 | 100 |
| 27.59 | 96 |
| 21.10 | 79 |
| 26.10 | 76 |
| 14.78 | 70 |
| 37.24 | 62 |
| 23.55 | 59 |
| 30.11 | 45 |
| 17.95 | 41 |
| 33.35 | 38 |